# 1
Starting from a GGA-PBE-relaxed structure, the PXRD pattern of CaTh2TcN4 was computed for Cu Kα.
Lines closer than 0.1° are merged.

Principal peaks in the range 2θ from 15° to 90°, by angle:
two_theta  I (rel.)
16.2  92
25.7  75
29.1  100
29.4  43
32.7  50
33.3  85
36.0  91
38.6  70
49.9  65
64.8  45

```
data_CaTh2TcN4
_space_group_name_H-M_alt 'C m c m'
_space_group_IT_number 63
_space_group_name_Hall '-C 2c 2'
_cell_length_a 3.661
_cell_length_b 12.164
_cell_length_c 12.627
_cell_angle_alpha 90.00
_cell_angle_beta 90.00
_cell_angle_gamma 90.00
loop_
_atom_site_label
_atom_site_fract_x
_atom_site_fract_y
_atom_site_fract_z
Ca1 0.000 0.052 0.250
Th1 0.000 0.367 0.051
Tc1 0.000 0.191 0.750
N1 0.000 0.000 0.000
N2 0.000 0.252 0.604
N3 0.000 0.395 0.250
```


# 2
Starting from a GGA-PBE-relaxed structure, the PXRD pattern of Li3TiO4 was computed for Cu Kα.
Lines closer than 0.1° are merged.

Principal peaks in the range 2θ from 15° to 90°, by angle:
two_theta  I (rel.)
18.5  100
21.4  25
30.3  10
30.4  10
35.7  23
35.9  9
43.4  59
43.6  29
57.5  10
63.2  37

```
data_Li3TiO4
_space_group_name_H-M_alt 'C m m m'
_space_group_IT_number 65
_space_group_name_Hall '-C 2 2'
_cell_length_a 5.882
_cell_length_b 8.301
_cell_length_c 2.954
_cell_angle_alpha 90.00
_cell_angle_beta 90.00
_cell_angle_gamma 90.00
loop_
_atom_site_label
_atom_site_fract_x
_atom_site_fract_y
_atom_site_fract_z
Li1 0.000 0.000 0.000
Li2 0.250 0.250 0.500
Ti1 0.000 0.500 0.000
O1 0.000 0.266 0.000
O2 0.228 0.500 0.500
```


# 3
Starting from a GGA-PBE-relaxed structure, the PXRD pattern of DyCu8Ag3 was computed for Cu Kα.
Lines closer than 0.1° are merged.

Principal peaks in the range 2θ from 15° to 90°, by angle:
two_theta  I (rel.)
35.9  33
36.0  34
42.4  100
42.4  34
44.4  24
64.6  17
69.0  22
69.1  14
76.0  15
76.3  15

```
data_DyCu8Ag3
_space_group_name_H-M_alt 'R 3 m'
_space_group_IT_number 160
_space_group_name_Hall 'R 3 -2"'
_cell_length_a 4.9941
_cell_length_b 4.9941
_cell_length_c 24.5681
_cell_angle_alpha 90.00
_cell_angle_beta 90.00
_cell_angle_gamma 120.00
loop_
_atom_site_label
_atom_site_fract_x
_atom_site_fract_y
_atom_site_fract_z
Dy1 0.0000 0.0000 0.0000
Cu1 0.0000 0.0000 0.3124
Cu2 0.0000 0.0000 0.8131
Cu3 0.0013 0.5006 0.0650
Cu4 0.1674 0.3349 0.8948
Ag1 0.0000 0.0000 0.1269
Ag2 0.0000 0.0000 0.5001
Ag3 0.0000 0.0000 0.6199
```


# 4
Starting from a GGA-PBE-relaxed structure, the PXRD pattern of Ac7Cd2Ni2 was computed for Cu Kα.
Lines closer than 0.1° are merged.

Principal peaks in the range 2θ from 15° to 90°, by angle:
two_theta  I (rel.)
25.6  100
26.6  56
27.4  30
28.9  70
33.7  44
34.8  99
49.3  34
54.8  26
55.2  20
56.6  22

```
data_Ac7Cd2Ni2
_space_group_name_H-M_alt 'C m m m'
_space_group_IT_number 65
_space_group_name_Hall '-C 2 2'
_cell_length_a 8.434
_cell_length_b 12.340
_cell_length_c 7.648
_cell_angle_alpha 90.00
_cell_angle_beta 90.00
_cell_angle_gamma 90.00
loop_
_atom_site_label
_atom_site_fract_x
_atom_site_fract_y
_atom_site_fract_z
Ac1 0.000 0.000 0.000
Ac2 0.000 0.500 0.239
Ac3 0.250 0.250 0.250
Cd1 0.167 0.000 0.500
Ni1 0.000 0.301 0.000
```


# 5
Starting from a GGA-PBE-relaxed structure, the PXRD pattern of NdY12Tm5 was computed for Cu Kα.
Lines closer than 0.1° are merged.

Principal peaks in the range 2θ from 15° to 90°, by angle:
two_theta  I (rel.)
25.7  7
30.8  100
35.7  50
51.4  35
61.1  28
61.2  14
64.2  12
83.9  17
86.5  5
86.7  10

```
data_NdY12Tm5
_space_group_name_H-M_alt 'C m m m'
_space_group_IT_number 65
_space_group_name_Hall '-C 2 2'
_cell_length_a 15.070
_cell_length_b 15.102
_cell_length_c 5.024
_cell_angle_alpha 90.00
_cell_angle_beta 90.00
_cell_angle_gamma 90.00
loop_
_atom_site_label
_atom_site_fract_x
_atom_site_fract_y
_atom_site_fract_z
Nd1 0.000 0.000 0.000
Y1 0.165 0.334 0.500
Y2 0.165 0.500 0.000
Y3 0.166 0.168 0.000
Y4 0.167 0.000 0.500
Tm1 0.000 0.168 0.500
Tm2 0.000 0.334 0.000
Tm3 0.000 0.500 0.500
```


# 6
Starting from a GGA-PBE-relaxed structure, the PXRD pattern of BeZnTe2S was computed for Cu Kα.
Lines closer than 0.1° are merged.

Principal peaks in the range 2θ from 15° to 90°, by angle:
two_theta  I (rel.)
17.2  37
24.2  50
26.0  37
27.1  39
27.2  39
30.3  100
36.5  24
45.3  26
45.4  27
48.6  19

```
data_BeZnTe2S
_space_group_name_H-M_alt 'P 1'
_space_group_IT_number 1
_space_group_name_Hall 'P 1'
_cell_length_a 3.273
_cell_length_b 3.745
_cell_length_c 10.569
_cell_angle_alpha 80.07
_cell_angle_beta 81.25
_cell_angle_gamma 90.00
loop_
_atom_site_label
_atom_site_fract_x
_atom_site_fract_y
_atom_site_fract_z
Be1 0.000 0.000 0.000
Zn1 0.625 0.625 0.744
Te1 0.228 0.724 0.535
Te2 0.924 0.424 0.155
S1 0.560 0.060 0.878
```


# 7
Starting from a GGA-PBE-relaxed structure, the PXRD pattern of Ta4SnRh7 was computed for Cu Kα.
Lines closer than 0.1° are merged.

Principal peaks in the range 2θ from 15° to 90°, by angle:
two_theta  I (rel.)
26.4  24
31.4  50
36.3  66
37.6  96
38.8  36
40.6  100
43.7  30
45.1  55
53.3  44
55.1  28

```
data_Ta4SnRh7
_space_group_name_H-M_alt 'C 1 2/m 1'
_space_group_IT_number 12
_space_group_name_Hall '-C 2y'
_cell_length_a 10.751
_cell_length_b 4.778
_cell_length_c 9.319
_cell_angle_alpha 90.00
_cell_angle_beta 119.91
_cell_angle_gamma 90.00
loop_
_atom_site_label
_atom_site_fract_x
_atom_site_fract_y
_atom_site_fract_z
Ta1 0.085 0.000 0.273
Ta2 0.244 0.000 0.833
Sn1 0.000 0.500 0.500
Rh1 0.000 0.000 0.500
Rh2 0.074 0.500 0.843
Rh3 0.141 0.000 0.044
Rh4 0.213 0.500 0.406
```


# 8
Starting from a GGA-PBE-relaxed structure, the PXRD pattern of Pm2Pr6DyY was computed for Cu Kα.
Lines closer than 0.1° are merged.

Principal peaks in the range 2θ from 15° to 90°, by angle:
two_theta  I (rel.)
27.8  57
29.8  79
29.8  100
30.3  71
30.6  64
30.8  100
31.3  31
32.8  92
37.2  31
58.9  30

```
data_Pm2Pr6DyY
_space_group_name_H-M_alt 'C 1 2/c 1'
_space_group_IT_number 15
_space_group_name_Hall '-C 2yc'
_cell_length_a 9.298
_cell_length_b 15.571
_cell_length_c 9.862
_cell_angle_alpha 90.00
_cell_angle_beta 98.16
_cell_angle_gamma 90.00
loop_
_atom_site_label
_atom_site_fract_x
_atom_site_fract_y
_atom_site_fract_z
Pm1 0.247 0.051 0.043
Pr1 0.061 0.182 0.447
Pr2 0.103 0.395 0.618
Pr3 0.209 0.222 0.810
Dy1 0.000 0.409 0.250
Y1 0.000 0.023 0.750
```


# 9
Starting from a GGA-PBE-relaxed structure, the PXRD pattern of Ba3LiTi3O8 was computed for Cu Kα.
Lines closer than 0.1° are merged.

Principal peaks in the range 2θ from 15° to 90°, by angle:
two_theta  I (rel.)
25.7  30
30.5  100
30.6  56
31.0  53
31.1  30
31.8  43
35.5  45
41.1  32
48.7  34
63.4  24

```
data_Ba3LiTi3O8
_space_group_name_H-M_alt 'P 1'
_space_group_IT_number 1
_space_group_name_Hall 'P 1'
_cell_length_a 5.873
_cell_length_b 5.874
_cell_length_c 7.862
_cell_angle_alpha 101.26
_cell_angle_beta 92.86
_cell_angle_gamma 119.36
loop_
_atom_site_label
_atom_site_fract_x
_atom_site_fract_y
_atom_site_fract_z
Ba1 0.000 0.000 0.000
Ba2 0.241 0.478 0.442
Ba3 0.620 0.239 0.741
Li1 0.768 0.508 0.160
Ti1 0.296 0.600 0.896
Ti2 0.522 0.069 0.294
Ti3 0.942 0.856 0.556
O1 0.022 0.498 0.023
O2 0.111 0.747 0.711
O3 0.125 0.245 0.714
O4 0.196 0.962 0.369
O5 0.495 0.004 0.049
O6 0.532 0.541 0.007
O7 0.697 0.942 0.411
O8 0.712 0.441 0.392
```


# 10
Starting from a GGA-PBE-relaxed structure, the PXRD pattern of Dy4Ga12Rh was computed for Cu Kα.
Lines closer than 0.1° are merged.

Principal peaks in the range 2θ from 15° to 90°, by angle:
two_theta  I (rel.)
29.3  34
36.1  100
39.1  10
42.0  65
52.0  10
60.9  38
69.0  10
72.9  31
76.7  12
84.1  9

```
data_Dy4Ga12Rh
_space_group_name_H-M_alt 'I m -3 m'
_space_group_IT_number 229
_space_group_name_Hall '-I 4 2 3'
_cell_length_a 8.611
_cell_length_b 8.611
_cell_length_c 8.611
_cell_angle_alpha 90.00
_cell_angle_beta 90.00
_cell_angle_gamma 90.00
loop_
_atom_site_label
_atom_site_fract_x
_atom_site_fract_y
_atom_site_fract_z
Dy1 0.250 0.250 0.250
Ga1 0.000 0.000 0.292
Ga2 0.000 0.250 0.500
Rh1 0.000 0.000 0.000
```


# 11
Starting from a GGA-PBE-relaxed structure, the PXRD pattern of Cs2TePtI was computed for Cu Kα.
Lines closer than 0.1° are merged.

Principal peaks in the range 2θ from 15° to 90°, by angle:
two_theta  I (rel.)
24.1  100
24.9  77
34.4  40
36.6  19
42.9  36
44.3  42
51.1  28
55.7  20
63.0  15
68.5  22

```
data_Cs2TePtI
_space_group_name_H-M_alt 'P 4/m m m'
_space_group_IT_number 123
_space_group_name_Hall '-P 4 2'
_cell_length_a 7.381
_cell_length_b 7.381
_cell_length_c 4.913
_cell_angle_alpha 90.00
_cell_angle_beta 90.00
_cell_angle_gamma 90.00
loop_
_atom_site_label
_atom_site_fract_x
_atom_site_fract_y
_atom_site_fract_z
Cs1 0.000 0.500 0.000
Te1 0.000 0.000 0.000
Pt1 0.000 0.000 0.500
I1 0.500 0.500 0.500
```


# 12
Starting from a GGA-PBE-relaxed structure, the PXRD pattern of NaSn8Ir2 was computed for Cu Kα.
Lines closer than 0.1° are merged.

Principal peaks in the range 2θ from 15° to 90°, by angle:
two_theta  I (rel.)
19.5  19
22.8  34
27.7  21
36.6  100
39.6  48
41.4  15
45.7  33
57.3  16
69.9  31
76.2  15

```
data_NaSn8Ir2
_space_group_name_H-M_alt 'P 4/m m m'
_space_group_IT_number 123
_space_group_name_Hall '-P 4 2'
_cell_length_a 6.434
_cell_length_b 6.434
_cell_length_c 7.576
_cell_angle_alpha 90.00
_cell_angle_beta 90.00
_cell_angle_gamma 90.00
loop_
_atom_site_label
_atom_site_fract_x
_atom_site_fract_y
_atom_site_fract_z
Na1 0.000 0.000 0.000
Sn1 0.255 0.255 0.288
Ir1 0.000 0.500 0.500
```